This entry pairs a crystal structure of K3EuV2O8 with its computed PXRD pattern. Radiation: Cu Kα. Structure: the PBE+U geometry in Alexandria.

Top 10 peaks for 10 to 90 degrees two-theta, low angle first:
- 7.865 Å, 2θ 11.25, intensity 82, hkl 1 0 0
- 5.226 Å, 2θ 16.97, intensity 31, hkl 0 1 1
- 4.327 Å, 2θ 20.53, intensity 56, hkl 1 1 1
- 4.296 Å, 2θ 20.68, intensity 40, hkl 1 0 -2
- 3.162 Å, 2θ 28.22, intensity 60, hkl 2 1 -1
- 3.140 Å, 2θ 28.42, intensity 31, hkl 2 0 -2
- 3.123 Å, 2θ 28.59, intensity 87, hkl 2 1 1
- 3.057 Å, 2θ 29.22, intensity 81, hkl 0 2 0
- 2.946 Å, 2θ 30.34, intensity 100, hkl 0 1 3
- 2.163 Å, 2θ 41.75, intensity 29, hkl 2 2 2

Cell and atoms:
Cell lengths 7.868, 6.110, 10.091 Å; angles 90.00, 91.46, 90.00 degrees
Positions (direct):
K (0.003, 0.250, 0.292)
K (0.188, 0.250, 0.934)
K (0.296, 0.750, 0.425)
K (0.704, 0.250, 0.575)
K (0.812, 0.750, 0.066)
K (0.997, 0.750, 0.708)
Eu (0.487, 0.250, 0.234)
Eu (0.513, 0.750, 0.766)
V (0.257, 0.250, 0.599)
V (0.290, 0.750, 0.082)
V (0.710, 0.250, 0.918)
V (0.743, 0.750, 0.401)
O (0.043, 0.250, 0.573)
O (0.126, 0.750, 0.968)
O (0.279, 0.515, 0.184)
O (0.279, 0.985, 0.184)
O (0.313, 0.013, 0.690)
O (0.313, 0.487, 0.690)
O (0.360, 0.250, 0.447)
O (0.477, 0.750, 0.995)
O (0.523, 0.250, 0.005)
O (0.640, 0.750, 0.553)
O (0.687, 0.513, 0.310)
O (0.687, 0.987, 0.310)
O (0.721, 0.015, 0.816)
O (0.721, 0.485, 0.816)
O (0.874, 0.250, 0.032)
O (0.957, 0.750, 0.427)